# NpGaI4
Calculated powder X-ray diffraction pattern, Cu Kα X-rays. Input: a DFT-relaxed cell (GGA-PBE, Alexandria).
Peak positions follow from Bragg's law for the DFT cell and can differ from measured ones.

Largest 6 diffraction maxima, by angle, 2θ = 10–90°:
hkl, d/Å, 2theta, Rel. int.
1 0 0, 7.449, 11.9, 65
1 0 -2, 3.649, 24.4, 43
1 1 1, 3.506, 25.4, 100
2 1 1, 2.708, 33.1, 34
0 1 3, 2.355, 38.2, 37
3 1 -1, 2.124, 42.6, 31

Cell and atoms:
abc: 7.452 4.582 8.240
angles: 90.00 91.66 90.00
Fractional positions:
Np (0.000, 0.000, 0.000)
Ga (0.000, 0.500, 0.500)
I (0.234, 0.000, 0.699)
I (0.235, 0.500, 0.160)
I (0.765, 0.500, 0.840)
I (0.766, 0.000, 0.301)